Record 1
# Sm5RhSe4
Theoretical powder XRD pattern, Cu Kα (weighted mean of Kα1 and Kα2). Input: DFT lattice parameters and positions (PBE).
No peak broadening, texture or thermal motion is included.

Crystal structure
```
data_Sm5RhSe4
_cell_length_a 15.065
_cell_length_b 15.065
_cell_length_c 15.065
_cell_angle_alpha 164.10
_cell_angle_beta 164.10
_cell_angle_gamma 22.56
_symmetry_space_group_name_H-M 'P 1'
_symmetry_Int_Tables_number 1
loop_
_symmetry_equiv_pos_as_xyz
'x,y,z'
loop_
_atom_site_label
_atom_site_fract_x
_atom_site_fract_y
_atom_site_fract_z
Sm1 0.000 0.000 0.000
Sm2 0.204 0.204 0.000
Sm3 0.407 0.407 0.000
Sm4 0.593 0.593 0.000
Sm5 0.796 0.796 0.000
Rh1 0.500 0.500 0.000
Se1 0.103 0.103 0.000
Se2 0.305 0.305 0.000
Se3 0.695 0.695 0.000
Se4 0.897 0.897 0.000
```

Principal peaks in the range 10° ≤ 2θ ≤ 80°, by angle:
- 3.405 Å, I = 141
- 2.949 Å, I = 1000
- 2.085 Å, I = 725
- 1.777 Å, I = 47
- 1.703 Å, I = 249
- 1.473 Å, I = 83
- 1.321 Å, I = 83
- 1.318 Å, I = 220
- 1.205 Å, I = 62
- 1.203 Å, I = 158

***

Record 2
# K4Pu3InTe8
Theoretical powder XRD pattern, Cu Kα (weighted mean of Kα1 and Kα2). Input: DFT lattice parameters and positions (PBE).
No peak broadening, texture or thermal motion is included.

Crystal structure
```
data_K4Pu3InTe8
_cell_length_a 7.809
_cell_length_b 7.809
_cell_length_c 8.502
_cell_angle_alpha 90.00
_cell_angle_beta 90.00
_cell_angle_gamma 90.24
_symmetry_space_group_name_H-M 'P 1'
_symmetry_Int_Tables_number 1
loop_
_symmetry_equiv_pos_as_xyz
'x,y,z'
loop_
_atom_site_label
_atom_site_fract_x
_atom_site_fract_y
_atom_site_fract_z
K1 0.000 0.000 0.000
K2 0.000 0.500 0.000
K3 0.500 0.000 0.000
K4 0.500 0.500 0.000
Pu1 0.000 0.000 0.500
Pu2 0.000 0.500 0.500
Pu3 0.500 0.000 0.500
In1 0.500 0.500 0.500
Te1 0.242 0.242 0.285
Te2 0.242 0.242 0.715
Te3 0.242 0.758 0.285
Te4 0.242 0.758 0.715
Te5 0.758 0.242 0.285
Te6 0.758 0.242 0.715
Te7 0.758 0.758 0.285
Te8 0.758 0.758 0.715
```

Principal peaks in the range 10° ≤ 2θ ≤ 80°, by angle:
- 8.502 Å, I = 646
- 3.548 Å, I = 89
- 2.876 Å, I = 1000
- 2.767 Å, I = 247
- 2.755 Å, I = 245
- 2.294 Å, I = 244
- 1.952 Å, I = 177
- 1.617 Å, I = 174
- 1.613 Å, I = 174
- 1.438 Å, I = 88

***

Record 3
# TbTh2Te4
Theoretical powder XRD pattern, Cu Kα (weighted mean of Kα1 and Kα2). Input: DFT lattice parameters and positions (PBE).
No peak broadening, texture or thermal motion is included.

Crystal structure
```
data_TbTh2Te4
_cell_length_a 7.377
_cell_length_b 7.377
_cell_length_c 15.907
_cell_angle_alpha 90.00
_cell_angle_beta 90.00
_cell_angle_gamma 147.10
_symmetry_space_group_name_H-M 'P 1'
_symmetry_Int_Tables_number 1
loop_
_symmetry_equiv_pos_as_xyz
'x,y,z'
loop_
_atom_site_label
_atom_site_fract_x
_atom_site_fract_y
_atom_site_fract_z
Tb1 0.106 0.894 0.750
Tb2 0.894 0.106 0.250
Th1 0.350 0.650 0.562
Th2 0.350 0.650 0.938
Th3 0.650 0.350 0.062
Th4 0.650 0.350 0.438
Te1 0.000 0.000 0.000
Te2 0.000 0.000 0.500
Te3 0.299 0.701 0.133
Te4 0.299 0.701 0.367
Te5 0.442 0.558 0.750
Te6 0.558 0.442 0.250
Te7 0.701 0.299 0.633
Te8 0.701 0.299 0.867
```

Principal peaks in the range 10° ≤ 2θ ≤ 80°, by angle:
- 4.243 Å, I = 478
- 3.467 Å, I = 438
- 3.127 Å, I = 630
- 3.069 Å, I = 544
- 2.908 Å, I = 1000
- 2.492 Å, I = 805
- 2.261 Å, I = 202
- 2.155 Å, I = 211
- 2.143 Å, I = 298
- 2.089 Å, I = 318

***

Record 4
# HfScCoTc
Theoretical powder XRD pattern, Cu Kα (weighted mean of Kα1 and Kα2). Input: DFT lattice parameters and positions (PBE).
No peak broadening, texture or thermal motion is included.

Crystal structure
```
data_HfScCoTc
_cell_length_a 3.215
_cell_length_b 3.215
_cell_length_c 6.364
_cell_angle_alpha 90.00
_cell_angle_beta 90.00
_cell_angle_gamma 90.00
_symmetry_space_group_name_H-M 'P 1'
_symmetry_Int_Tables_number 1
loop_
_symmetry_equiv_pos_as_xyz
'x,y,z'
loop_
_atom_site_label
_atom_site_fract_x
_atom_site_fract_y
_atom_site_fract_z
Hf1 0.000 0.000 0.000
Sc1 0.000 0.000 0.508
Co1 0.500 0.500 0.762
Tc1 0.500 0.500 0.249
```

Principal peaks in the range 10° ≤ 2θ ≤ 80°, by angle:
- 6.364 Å, I = 429
- 2.869 Å, I = 229
- 2.273 Å, I = 510
- 2.262 Å, I = 1000
- 2.141 Å, I = 119
- 1.771 Å, I = 78
- 1.607 Å, I = 169
- 1.591 Å, I = 80
- 1.310 Å, I = 333
- 1.304 Å, I = 162

***

Record 5
# BeAl3Ni4
Theoretical powder XRD pattern, Cu Kα (weighted mean of Kα1 and Kα2). Input: DFT lattice parameters and positions (PBE).
No peak broadening, texture or thermal motion is included.

Crystal structure
```
data_BeAl3Ni4
_cell_length_a 2.793
_cell_length_b 2.793
_cell_length_c 11.621
_cell_angle_alpha 90.00
_cell_angle_beta 90.00
_cell_angle_gamma 90.00
_symmetry_space_group_name_H-M 'P 1'
_symmetry_Int_Tables_number 1
loop_
_symmetry_equiv_pos_as_xyz
'x,y,z'
loop_
_atom_site_label
_atom_site_fract_x
_atom_site_fract_y
_atom_site_fract_z
Be1 0.000 0.000 0.000
Al1 0.000 0.000 0.237
Al2 0.000 0.000 0.500
Al3 0.000 0.000 0.763
Ni1 0.500 0.500 0.108
Ni2 0.500 0.500 0.367
Ni3 0.500 0.500 0.633
Ni4 0.500 0.500 0.892
```

Principal peaks in the range 10° ≤ 2θ ≤ 80°, by angle:
- 2.905 Å, I = 177
- 2.793 Å, I = 367
- 2.266 Å, I = 86
- 2.014 Å, I = 1000
- 1.975 Å, I = 521
- 1.633 Å, I = 116
- 1.453 Å, I = 59
- 1.397 Å, I = 157
- 1.271 Å, I = 50
- 1.249 Å, I = 49

***

Record 6
# Ge2Pd7Se2
Theoretical powder XRD pattern, Cu Kα (weighted mean of Kα1 and Kα2). Input: DFT lattice parameters and positions (PBE).
No peak broadening, texture or thermal motion is included.

Crystal structure
```
data_Ge2Pd7Se2
_cell_length_a 6.116
_cell_length_b 6.116
_cell_length_c 5.709
_cell_angle_alpha 102.69
_cell_angle_beta 102.69
_cell_angle_gamma 104.68
_symmetry_space_group_name_H-M 'P 1'
_symmetry_Int_Tables_number 1
loop_
_symmetry_equiv_pos_as_xyz
'x,y,z'
loop_
_atom_site_label
_atom_site_fract_x
_atom_site_fract_y
_atom_site_fract_z
Ge1 0.193 0.807 0.000
Ge2 0.807 0.193 0.000
Pd1 0.065 0.579 0.293
Pd2 0.089 0.089 0.304
Pd3 0.421 0.935 0.707
Pd4 0.500 0.500 0.500
Pd5 0.579 0.065 0.293
Pd6 0.911 0.911 0.696
Pd7 0.935 0.421 0.707
Se1 0.311 0.311 0.765
Se2 0.689 0.689 0.235
```

Principal peaks in the range 10° ≤ 2θ ≤ 80°, by angle:
- 2.870 Å, I = 179
- 2.663 Å, I = 171
- 2.619 Å, I = 308
- 2.421 Å, I = 608
- 2.405 Å, I = 281
- 2.304 Å, I = 265
- 2.242 Å, I = 1000
- 2.138 Å, I = 174
- 1.777 Å, I = 180
- 1.742 Å, I = 182